Entry 1:
For LiDyCl4, a DFT-relaxed cell (GGA-PBE, Alexandria) gives the theoretical powder diffractogram in this record (Cu Kα X-rays).

The 8 most intense peaks (10° ≤ 2θ ≤ 90°), in order of falling intensity:
d = 6.649 Å, 2θ 13.32, I 100
d = 2.952 Å, 2θ 30.28, I 34
d = 3.392 Å, 2θ 26.28, I 24
d = 2.306 Å, 2θ 39.05, I 21
d = 3.128 Å, 2θ 28.53, I 19
d = 5.006 Å, 2θ 17.72, I 18
d = 1.937 Å, 2θ 46.90, I 14
d = 4.452 Å, 2θ 19.94, I 13

Crystal structure
a b c (Å): 6.6827 3.9436 6.7166
angles (deg): 90.00 96.71 90.00
Atoms (fractional coordinates):
Li 0.0000 0.0000 0.0000
Dy 0.0000 0.5000 0.5000
Cl 0.1975 0.5000 0.1880
Cl 0.2251 0.0000 0.6800
Cl 0.7749 0.0000 0.3200
Cl 0.8025 0.5000 0.8120

=====

Entry 2:
For Li2DyNpCl8, a DFT-relaxed cell (GGA-PBE, Alexandria) gives the theoretical powder diffractogram in this record (Cu Kα X-rays).

The 8 most intense peaks (10° ≤ 2θ ≤ 90°), in order of falling intensity:
d = 3.051 Å, 2θ 29.27, I 100
d = 6.374 Å, 2θ 13.89, I 99
d = 6.296 Å, 2θ 14.07, I 95
d = 4.659 Å, 2θ 19.05, I 66
d = 4.319 Å, 2θ 20.56, I 56
d = 4.036 Å, 2θ 22.02, I 38
d = 2.018 Å, 2θ 44.92, I 35
d = 2.761 Å, 2θ 32.43, I 33

Crystal structure
a b c (Å): 6.3142 6.3928 8.0732
angles (deg): 90.36 90.36 94.33
Atoms (fractional coordinates):
Li 0.0014 0.0019 0.2574
Li 0.9986 0.9981 0.7426
Dy 0.5000 0.5000 0.5000
Np 0.5000 0.5000 0.0000
Cl 0.1971 0.1811 0.0055
Cl 0.2031 0.1881 0.5019
Cl 0.2941 0.6838 0.2579
Cl 0.2978 0.6877 0.7420
Cl 0.7022 0.3123 0.2580
Cl 0.7059 0.3162 0.7421
Cl 0.7969 0.8119 0.4981
Cl 0.8029 0.8189 0.9945

=====

Entry 3:
For RbLi2DyCl6, a DFT-relaxed cell (GGA-PBE, Alexandria) gives the theoretical powder diffractogram in this record (Cu Kα X-rays).

The 8 most intense peaks (10° ≤ 2θ ≤ 90°), in order of falling intensity:
d = 5.159 Å, 2θ 17.19, I 100
d = 2.541 Å, 2θ 35.33, I 74
d = 4.128 Å, 2θ 21.53, I 61
d = 7.947 Å, 2θ 11.13, I 51
d = 3.051 Å, 2θ 29.27, I 31
d = 1.908 Å, 2θ 47.67, I 26
d = 2.782 Å, 2θ 32.17, I 22
d = 2.644 Å, 2θ 33.91, I 21

Crystal structure
a b c (Å): 8.8151 8.8151 8.8151
angles (deg): 44.03 44.03 44.03
Atoms (fractional coordinates):
Rb 0.0000 0.0000 0.0000
Li 0.1721 0.1721 0.1721
Li 0.8279 0.8279 0.8279
Dy 0.5000 0.5000 0.5000
Cl 0.1037 0.4389 0.7756
Cl 0.2244 0.8963 0.5611
Cl 0.4389 0.7756 0.1037
Cl 0.5611 0.2244 0.8963
Cl 0.7756 0.1037 0.4389
Cl 0.8963 0.5611 0.2244

=====

Entry 4:
For Dy2LuCl, a DFT-relaxed cell (GGA-PBE, Alexandria) gives the theoretical powder diffractogram in this record (Cu Kα X-rays).

The 8 most intense peaks (10° ≤ 2θ ≤ 90°), in order of falling intensity:
d = 2.857 Å, 2θ 31.31, I 100
d = 2.377 Å, 2θ 37.85, I 54
d = 1.787 Å, 2θ 51.12, I 26
d = 1.449 Å, 2θ 64.31, I 19
d = 2.745 Å, 2θ 32.63, I 18
d = 2.474 Å, 2θ 36.31, I 17
d = 3.299 Å, 2θ 27.03, I 16
d = 1.515 Å, 2θ 61.18, I 15

Crystal structure
a b c (Å): 10.1088 10.1088 10.1088
angles (deg): 20.36 20.36 20.36
Atoms (fractional coordinates):
Dy 0.2405 0.2405 0.2405
Dy 0.7595 0.7595 0.7595
Lu 0.0000 0.0000 0.0000
Cl 0.5000 0.5000 0.5000

=====

Entry 5:
For DyMgCl6, a DFT-relaxed cell (GGA-PBE, Alexandria) gives the theoretical powder diffractogram in this record (Cu Kα X-rays).

The 8 most intense peaks (10° ≤ 2θ ≤ 90°), in order of falling intensity:
d = 4.863 Å, 2θ 18.24, I 100
d = 2.753 Å, 2θ 32.53, I 39
d = 2.957 Å, 2θ 30.22, I 37
d = 4.569 Å, 2θ 19.43, I 34
d = 2.865 Å, 2θ 31.22, I 32
d = 1.883 Å, 2θ 48.35, I 30
d = 5.863 Å, 2θ 15.11, I 26
d = 5.300 Å, 2θ 16.73, I 25

Crystal structure
a b c (Å): 6.5322 6.5438 6.8317
angles (deg): 61.74 65.99 60.32
Atoms (fractional coordinates):
Dy 0.0000 0.0000 0.0000
Mg 0.5000 0.5000 0.5000
Cl 0.1141 0.4000 0.7078
Cl 0.2659 0.9108 0.2557
Cl 0.3885 0.7144 0.7763
Cl 0.6115 0.2856 0.2237
Cl 0.7341 0.0892 0.7443
Cl 0.8859 0.6000 0.2922

=====

Entry 6:
For DyMnCl, a DFT-relaxed cell (GGA-PBE, Alexandria) gives the theoretical powder diffractogram in this record (Cu Kα X-rays).

The 8 most intense peaks (10° ≤ 2θ ≤ 90°), in order of falling intensity:
d = 2.714 Å, 2θ 33.00, I 100
d = 3.250 Å, 2θ 27.45, I 82
d = 1.885 Å, 2θ 48.29, I 69
d = 2.602 Å, 2θ 34.47, I 60
d = 2.727 Å, 2θ 32.85, I 49
d = 5.728 Å, 2θ 15.47, I 32
d = 2.593 Å, 2θ 34.59, I 31
d = 2.363 Å, 2θ 38.08, I 30

Crystal structure
a b c (Å): 3.7669 3.7705 11.6534
angles (deg): 89.77 80.77 60.03
Atoms (fractional coordinates):
Dy 0.1209 0.4420 0.3147
Dy 0.8791 0.5580 0.6853
Mn 0.3282 0.8357 0.5079
Mn 0.6718 0.1643 0.4921
Cl 0.4462 0.2724 0.8378
Cl 0.5538 0.7276 0.1622